No. 1
Starting from a crystal structure in Alexandria, relaxed with PBE, the PXRD pattern of Li2HfGa2 was computed for copper Kα.
No peak broadening, texture or thermal motion is included.

Largest 10 diffraction maxima, by angle, 10 to 80 degrees two-theta:
2θ (°), I (rel.)
14.4, 100
32.5, 65
34.1, 57
37.2, 49
44.2, 59
49.0, 23
51.3, 16
58.2, 12
60.0, 23
68.1, 33

Crystal structure
```
Li2HfGa2
1.0
-1.8606 1.8606 6.1357
1.8606 -1.8606 6.1357
1.8606 1.8606 -6.1357
Li Hf Ga
2 1 2
direct
0.2500 0.7500 0.5000
0.7500 0.2500 0.5000
0.0000 0.0000 0.0000
0.3996 0.3996 0.0000
0.6004 0.6004 0.0000
```

No. 2
Starting from a crystal structure in Alexandria, relaxed with PBE, the PXRD pattern of TlCu2SnS4 was computed for copper Kα.
No peak broadening, texture or thermal motion is included.

Largest 10 diffraction maxima, by angle, 10 to 80 degrees two-theta:
2θ (°), I (rel.)
21.3, 13
27.1, 100
30.3, 18
34.7, 11
43.3, 21
45.8, 33
51.9, 33
55.9, 8
56.1, 13
73.5, 11

Crystal structure
```
TlCu2SnS4
1.0
-2.9528 2.9528 5.3436
2.9528 -2.9528 5.3436
2.9528 2.9528 -5.3436
Tl Cu Sn S
1 2 1 4
direct
0.0000 0.0000 0.0000
0.2500 0.7500 0.5000
0.7500 0.2500 0.5000
0.5000 0.5000 0.0000
0.1258 0.5737 0.0000
0.4263 0.4263 0.5521
0.5737 0.1258 0.0000
0.8742 0.8742 0.4479
```

No. 3
Starting from a crystal structure in Alexandria, relaxed with PBE, the PXRD pattern of La4NdY4 was computed for copper Kα.
No peak broadening, texture or thermal motion is included.

Largest 10 diffraction maxima, by angle, 10 to 80 degrees two-theta:
2θ (°), I (rel.)
29.8, 100
29.9, 99
34.6, 67
34.8, 33
49.7, 24
49.8, 24
49.9, 23
59.0, 14
59.1, 14
59.2, 35

Crystal structure
```
La4NdY4
1.0
6.3191 0.0000 0.0000
-1.0487 9.6461 0.0000
-3.1113 -2.4080 10.2556
La Nd Y
8 2 8
direct
0.2473 0.4147 0.0274
0.2491 0.7489 0.2513
0.2507 0.0832 0.1396
0.2518 0.7495 0.5834
0.7482 0.2505 0.4166
0.7493 0.9168 0.8604
0.7509 0.2511 0.7487
0.7527 0.5853 0.9726
0.2479 0.0824 0.8036
0.7521 0.9176 0.1964
0.2474 0.7475 0.9158
0.2504 0.4166 0.3631
0.2499 0.4182 0.6920
0.2505 0.0838 0.4738
0.7495 0.9162 0.5262
0.7501 0.5818 0.3080
0.7496 0.5834 0.6369
0.7526 0.2525 0.0842
```

No. 4
Starting from a crystal structure in Alexandria, relaxed with PBE, the PXRD pattern of MgGa5Ni3 was computed for copper Kα.
No peak broadening, texture or thermal motion is included.

Largest 10 diffraction maxima, by angle, 10 to 80 degrees two-theta:
2θ (°), I (rel.)
20.3, 45
21.1, 100
29.4, 53
40.6, 73
40.8, 72
41.2, 96
43.0, 85
50.5, 58
50.7, 57
61.1, 54

Crystal structure
```
MgGa5Ni3
1.0
4.4166 -4.3827 0.0000
4.4166 4.3827 0.0000
-2.4888 0.0000 7.8127
Mg Ga Ni
2 10 6
direct
0.2462 0.2462 0.2468
0.7538 0.7538 0.7532
0.2385 0.2385 0.9121
0.2404 0.2404 0.5783
0.2543 0.7214 0.6623
0.2645 0.7355 0.0000
0.2786 0.7457 0.3377
0.7214 0.2543 0.6623
0.7355 0.2645 0.0000
0.7457 0.2786 0.3377
0.7596 0.7596 0.4217
0.7615 0.7615 0.0879
0.0000 0.0000 0.0000
0.0030 0.0030 0.6624
0.4871 0.4871 0.8331
0.5000 0.5000 0.5000
0.5129 0.5129 0.1669
0.9970 0.9970 0.3376
```

No. 5
Starting from a crystal structure in Alexandria, relaxed with PBE, the PXRD pattern of Ca2Sn8Ir was computed for copper Kα.
No peak broadening, texture or thermal motion is included.

Largest 10 diffraction maxima, by angle, 10 to 80 degrees two-theta:
2θ (°), I (rel.)
20.0, 20
23.5, 22
30.2, 13
34.3, 100
35.7, 12
38.0, 53
39.3, 14
53.1, 15
54.9, 19
66.3, 30

Crystal structure
```
Ca2Sn8Ir
1.0
4.7329 0.0000 0.0000
0.0000 4.7329 0.0000
0.0000 0.0000 12.5896
Ca Sn Ir
2 8 1
direct
0.0000 0.0000 0.1932
0.0000 0.0000 0.8068
0.0000 0.5000 0.0000
0.0000 0.5000 0.3786
0.0000 0.5000 0.6214
0.5000 0.0000 0.0000
0.5000 0.0000 0.3786
0.5000 0.0000 0.6214
0.5000 0.5000 0.1929
0.5000 0.5000 0.8071
0.0000 0.0000 0.5000
```

No. 6
Starting from a crystal structure in Alexandria, relaxed with PBE, the PXRD pattern of Na2BeOsO4 was computed for copper Kα.
No peak broadening, texture or thermal motion is included.

Largest 10 diffraction maxima, by angle, 10 to 80 degrees two-theta:
2θ (°), I (rel.)
21.5, 100
22.4, 39
29.2, 19
31.9, 29
37.1, 46
38.8, 35
43.8, 15
45.7, 13
51.4, 14
60.3, 26

Crystal structure
```
Na2BeOsO4
1.0
-2.8086 2.8086 3.0563
2.8086 -2.8086 3.0563
2.8086 2.8086 -3.0563
Na Be Os O
2 1 1 4
direct
0.0000 0.0000 0.0000
0.7500 0.2500 0.5000
0.5000 0.5000 0.0000
0.2500 0.7500 0.5000
0.2035 0.5220 0.0705
0.4516 0.1330 0.9295
0.4780 0.5484 0.6815
0.8670 0.7965 0.3185
```

No. 7
Starting from a crystal structure in Alexandria, relaxed with PBE, the PXRD pattern of LaHo14Sc was computed for copper Kα.
No peak broadening, texture or thermal motion is included.

Largest 10 diffraction maxima, by angle, 10 to 80 degrees two-theta:
2θ (°), I (rel.)
17.8, 1
19.9, 1
25.3, 1
31.1, 100
36.1, 51
52.0, 36
61.8, 42
64.9, 12
76.5, 4
76.7, 2

Crystal structure
```
LaHo14Sc
1.0
7.0429 0.0000 0.0000
0.0000 7.0429 0.0000
0.0000 0.0000 9.9445
La Ho Sc
1 14 1
direct
0.0000 0.0000 0.0000
0.0000 0.0000 0.5000
0.0000 0.5000 0.0000
0.0000 0.5000 0.5000
0.2528 0.2528 0.2497
0.2528 0.2528 0.7503
0.2528 0.7472 0.2497
0.2528 0.7472 0.7503
0.5000 0.0000 0.0000
0.5000 0.0000 0.5000
0.5000 0.5000 0.5000
0.7472 0.2528 0.2497
0.7472 0.2528 0.7503
0.7472 0.7472 0.2497
0.7472 0.7472 0.7503
0.5000 0.5000 0.0000
```

No. 8
Starting from a crystal structure in Alexandria, relaxed with PBE, the PXRD pattern of Ni2H4Rh was computed for copper Kα.
No peak broadening, texture or thermal motion is included.

Largest 10 diffraction maxima, by angle, 10 to 80 degrees two-theta:
2θ (°), I (rel.)
38.2, 51
38.8, 100
39.1, 48
44.4, 64
46.2, 29
64.7, 12
65.4, 20
66.6, 18
77.7, 12
78.3, 22

Crystal structure
```
Ni2H4Rh
1.0
4.7246 -1.4406 0.0000
4.7246 1.4406 0.0000
-1.5522 0.0000 3.6093
Ni H Rh
2 4 1
direct
0.1766 0.1766 0.1683
0.8234 0.8234 0.8317
0.0120 0.0120 0.7819
0.3288 0.3288 0.6014
0.6712 0.6712 0.3986
0.9880 0.9880 0.2181
0.5000 0.5000 0.5000
```

No. 9
Starting from a crystal structure in Alexandria, relaxed with PBE, the PXRD pattern of NaSn2Pb2 was computed for copper Kα.
No peak broadening, texture or thermal motion is included.

Largest 10 diffraction maxima, by angle, 10 to 80 degrees two-theta:
2θ (°), I (rel.)
15.6, 32
22.8, 27
31.7, 93
32.0, 100
34.9, 36
35.5, 39
40.3, 25
54.3, 21
54.8, 23
60.9, 17

Crystal structure
```
NaSn2Pb2
1.0
5.6972 -2.2405 0.0000
5.6972 2.2405 0.0000
-5.5688 0.0000 5.7017
Na Sn Pb
1 2 2
direct
0.0000 0.0000 0.0000
0.3893 0.3893 0.5882
0.6107 0.6107 0.4118
0.1896 0.1896 0.7806
0.8104 0.8104 0.2194
```

No. 10
Starting from a crystal structure in Alexandria, relaxed with PBE, the PXRD pattern of Ba3MgTaNbO9 was computed for copper Kα.
No peak broadening, texture or thermal motion is included.

Largest 10 diffraction maxima, by angle, 10 to 80 degrees two-theta:
2θ (°), I (rel.)
17.5, 8
21.5, 7
30.5, 100
37.6, 7
43.7, 31
54.2, 31
54.3, 10
63.5, 10
63.6, 10
72.1, 18

Crystal structure
```
Ba3MgTaNbO9
1.0
5.8525 0.0000 0.0000
-2.9263 5.0684 0.0000
0.0000 0.0000 7.1854
Ba Mg Ta Nb O
3 1 1 1 9
direct
0.0000 0.0000 0.0000
0.3333 0.6667 0.6639
0.6667 0.3333 0.3316
0.0000 0.0000 0.4960
0.3333 0.6667 0.1761
0.6667 0.3333 0.8199
0.0024 0.5012 0.0007
0.1721 0.3441 0.3249
0.1721 0.8279 0.3249
0.3426 0.1713 0.6739
0.4988 0.5012 0.0007
0.4988 0.9976 0.0007
0.6559 0.8279 0.3249
0.8287 0.1713 0.6739
0.8287 0.6574 0.6739
```

No. 11
Starting from a crystal structure in Alexandria, relaxed with PBE, the PXRD pattern of BC5 was computed for copper Kα.
No peak broadening, texture or thermal motion is included.

Largest 10 diffraction maxima, by angle, 10 to 80 degrees two-theta:
2θ (°), I (rel.)
19.7, 1
23.9, 2
24.6, 3
28.2, 2
34.1, 1
42.9, 100
43.2, 99
73.2, 52
74.3, 13
75.2, 13

Crystal structure
```
BC5
1.0
4.5181 0.0000 0.0000
0.0000 2.5281 0.0000
-0.1942 0.0000 6.3221
B C
2 10
direct
0.1722 0.0000 0.2852
0.8278 0.0000 0.7148
0.0108 0.5000 0.6162
0.1713 0.0000 0.0301
0.3327 0.5000 0.9527
0.3352 0.5000 0.7024
0.4891 0.0000 0.6214
0.5109 0.0000 0.3786
0.6648 0.5000 0.2976
0.6673 0.5000 0.0473
0.8287 0.0000 0.9699
0.9892 0.5000 0.3838
```

No. 12
Starting from a crystal structure in Alexandria, relaxed with PBE, the PXRD pattern of K2Ta3O8 was computed for copper Kα.
No peak broadening, texture or thermal motion is included.

Largest 10 diffraction maxima, by angle, 10 to 80 degrees two-theta:
2θ (°), I (rel.)
14.3, 100
25.4, 17
27.0, 15
28.7, 19
33.5, 20
33.8, 12
34.1, 26
40.5, 23
48.6, 12
50.9, 12

Crystal structure
```
K2Ta3O8
1.0
6.5705 -3.1606 0.0000
6.5705 3.1606 0.0000
-1.7353 0.0000 5.0239
K Ta O
2 3 8
direct
0.2273 0.2273 0.1725
0.7727 0.7727 0.8275
0.2318 0.7682 0.5000
0.5000 0.5000 0.0000
0.7682 0.2318 0.5000
0.0960 0.0960 0.4602
0.1966 0.6337 0.1205
0.3663 0.8034 0.8795
0.4136 0.4136 0.6060
0.5864 0.5864 0.3940
0.6337 0.1966 0.1205
0.8034 0.3663 0.8795
0.9040 0.9040 0.5398
```